Structure and computed powder diffractogram of Li7MgNi7O16 (a structure optimized by DFT (PBE+U); CuKα).

Atomic structure:
abc: 7.6404 7.6404 5.0460
angles: 102.72 102.72 98.24
Fractional coordinates of all 31 atoms:
Li 0.0000 0.0000 0.0000
Li 0.1478 0.3874 0.0440
Li 0.3832 0.1243 0.9978
Li 0.4962 0.5038 0.0000
Li 0.6126 0.8522 0.9560
Li 0.7573 0.2427 0.0000
Li 0.8757 0.6168 0.0022
Mg 0.2597 0.7403 0.0000
Ni 0.0122 0.4985 0.5048
Ni 0.1295 0.8705 0.5000
Ni 0.2594 0.2532 0.5022
Ni 0.5015 0.9878 0.4952
Ni 0.6303 0.3697 0.5000
Ni 0.7468 0.7406 0.4978
Ni 0.8782 0.1218 0.5000
O 0.0149 0.7466 0.7230
O 0.0203 0.2607 0.2737
O 0.1146 0.6434 0.2599
O 0.1228 0.1129 0.7120
O 0.2312 0.4862 0.7565
O 0.2534 0.9851 0.2770
O 0.3566 0.8854 0.7401
O 0.3943 0.3535 0.2722
O 0.5048 0.2415 0.7111
O 0.5138 0.7688 0.2435
O 0.6421 0.1385 0.2784
O 0.6465 0.6057 0.7278
O 0.7393 0.9797 0.7263
O 0.7585 0.4952 0.2889
O 0.8615 0.3579 0.7216
O 0.8871 0.8772 0.2880

The 12 most intense peaks (10 to 80 degrees two-theta), by angle:
2θ 18.67, I = 100
2θ 19.45, I = 8
2θ 24.94, I = 8
2θ 36.48, I = 42
2θ 38.09, I = 12
2θ 44.11, I = 31
2θ 44.31, I = 61
2θ 48.33, I = 10
2θ 58.54, I = 10
2θ 64.06, I = 16
2θ 64.41, I = 8
2θ 64.54, I = 24


Structure and computed powder diffractogram of NpCrBi2O6 (a structure optimized by DFT (PBE+U); CuKα).

Atomic structure:
abc: 5.6743 5.6743 6.1899
angles: 120.01 120.01 60.35
Fractional coordinates of all 10 atoms:
Np 0.0000 0.0000 0.0000
Cr 0.5000 0.5000 0.5000
Bi 0.2532 0.2532 0.7141
Bi 0.7468 0.7468 0.2859
O 0.1810 0.6712 0.6548
O 0.2572 0.2572 0.1605
O 0.3288 0.8190 0.3452
O 0.6712 0.1810 0.6548
O 0.7428 0.7428 0.8395
O 0.8190 0.3288 0.3452

The 12 most intense peaks (10 to 80 degrees two-theta), by angle:
2θ 18.70, I = 29
2θ 28.91, I = 45
2θ 30.21, I = 100
2θ 31.37, I = 46
2θ 31.58, I = 87
2θ 34.26, I = 26
2θ 43.18, I = 46
2θ 45.33, I = 19
2θ 51.15, I = 20
2θ 55.11, I = 19
2θ 55.97, I = 18
2θ 56.16, I = 22